Structure and calculated X-ray powder pattern of SmGaSi (a cell relaxed with GGA-PBE; Cu Kα (λ = 1.5418 Å)).
Neutral-atom scattering factors, no anomalous dispersion.

Atomic structure:
```
SmGaSi
1.0
-2.0848 2.0848 7.1389
2.0848 -2.0848 7.1389
2.0848 2.0848 -7.1389
Sm Ga Si
2 2 2
Cartesian
0.0000 0.0000 0.0000
0.0000 2.0848 3.5694
2.0848 0.0000 4.7598
0.0000 0.0000 8.3292
2.0848 0.0000 2.3821
0.0000 0.0000 5.9515
```

Principal peaks in the range 2θ from 10° to 80°, most intense first:
| d [Å] | 2theta | intensity |
| --- | --- | --- |
| 2.725 | 32.87 | 100 |
| 2.356 | 38.20 | 45 |
| 3.136 | 28.46 | 42 |
| 2.085 | 43.40 | 35 |
| 1.561 | 59.18 | 25 |
| 1.832 | 49.77 | 21 |
| 1.297 | 72.96 | 20 |
| 1.376 | 68.13 | 16 |

=====

Structure and calculated X-ray powder pattern of NaSn2P3O12 (a cell relaxed with GGA-PBE; Cu Kα (λ = 1.5418 Å)).
Neutral-atom scattering factors, no anomalous dispersion.

Atomic structure:
```
NaSn2P3O12
1.0
8.6154 0.0000 0.0000
4.3062 7.5011 0.0000
4.2623 2.4816 7.6924
Na Sn P O
2 4 6 24
Cartesian
3.7555 3.7628 0.4759
13.4284 6.2198 7.2165
6.4803 6.2918 4.3414
10.7136 8.7384 7.2463
6.4704 1.2442 0.4461
10.7037 3.6908 3.3510
4.5747 3.7377 5.7486
3.3926 0.8575 1.9663
9.5001 5.9204 5.7870
7.6839 4.0622 1.9055
13.7914 9.1251 5.7262
12.6093 6.2450 1.9438
3.8169 3.6022 4.4199
5.7278 4.7818 5.5943
3.0733 2.3846 2.0368
4.8948 5.6420 0.8154
5.1125 2.3626 6.1469
7.4879 7.7724 3.3784
6.7283 7.7612 0.9277
8.0081 6.3858 5.7366
7.3099 4.8497 3.1557
4.8608 0.6267 1.5590
9.5270 5.0432 7.0771
10.4230 7.1470 5.9381
6.7610 2.8356 1.7543
7.6570 4.9394 0.6153
12.3232 9.3559 6.1334
9.8740 5.1329 4.5367
9.1759 3.5968 1.9559
10.4557 2.2214 6.7648
9.6961 2.2102 4.3140
12.0715 7.6200 1.5455
12.2892 4.3406 6.8770
14.1107 7.5981 5.6557
11.4562 5.2008 2.0981
13.3671 6.3804 3.2726
```

Principal peaks in the range 2θ from 10° to 80°, most intense first:
| d [Å] | 2theta | intensity |
| --- | --- | --- |
| 4.321 | 20.56 | 100 |
| 4.577 | 19.40 | 71 |
| 2.877 | 31.08 | 64 |
| 6.276 | 14.11 | 54 |
| 3.143 | 28.40 | 50 |
| 4.552 | 19.50 | 49 |
| 3.771 | 23.59 | 35 |
| 3.130 | 28.51 | 34 |